Calculated X-ray diffraction stick pattern of Pm8SnSb5 for Cu Kα (weighted mean of Kα1 and Kα2), from DFT lattice parameters and positions (GGA-PBE).
Kinematic intensities with the Lorentz-polarization factor, no thermal factor.

Cell and atoms:
Lattice parameters (Å, degrees): 9.4577 9.4577 9.4588 90.00 90.00 90.00
Space group I-4 (No. 82)
Symmetry-distinct sites (fractional):
Pm1 0.0701 0.3216 0.0545 x8
Pm2 0.0708 0.1787 0.6960 x8
Sn1 0.0000 0.0000 0.0000 x2
Sb1 0.0000 0.5000 0.7500 x2
Sb2 0.1252 0.2495 0.3750 x8

Main lines, in order of falling intensity (10 to 90 degrees two-theta):
2θ 29.87, 2.991 Å, rel. 1000, (3 0 1)
2θ 35.51, 2.528 Å, rel. 660, (3 1 2)
2θ 60.33, 1.534 Å, rel. 254, (1 6 1)
2θ 49.12, 1.855 Å, rel. 235, (3 1 4)
2θ 47.07, 1.931 Å, rel. 171, (2 2 4)
2θ 73.59, 1.287 Å, rel. 155, (5 2 5)
2θ 63.77, 1.459 Å, rel. 144, (4 5 1)
2θ 62.06, 1.495 Å, rel. 120, (6 2 0)
2θ 89.04, 1.099 Å, rel. 108, (7 5 0)
2θ 42.76, 2.115 Å, rel. 105, (4 0 2)



Calculated X-ray diffraction stick pattern of Pm5SnSb4 for Cu Kα (weighted mean of Kα1 and Kα2), from DFT lattice parameters and positions (GGA-PBE).
Kinematic intensities with the Lorentz-polarization factor, no thermal factor.

Cell and atoms:
Lattice parameters (Å, degrees): 4.4648 6.3578 22.5740 90.00 90.00 90.00
Space group Immm (No. 71)
Symmetry-distinct sites (fractional):
Pm1 0.0000 0.0000 0.0000 x2
Pm2 0.0000 0.0000 0.1993 x4
Pm3 0.0000 0.0000 0.3980 x4
Sn1 0.0000 0.5000 0.0000 x2
Sb1 0.0000 0.5000 0.2001 x4
Sb2 0.0000 0.5000 0.3999 x4

Main lines, in order of falling intensity (10 to 90 degrees two-theta):
2θ 28.10, 3.176 Å, rel. 1000, (1 0 5)
2θ 40.14, 2.246 Å, rel. 512, (1 2 5)
2θ 65.73, 1.421 Å, rel. 237, (1 4 5)
2θ 49.52, 1.841 Å, rel. 139, (0 2 10)
2θ 49.92, 1.827 Å, rel. 136, (2 2 0)
2θ 39.94, 2.257 Å, rel. 129, (0 0 10)
2θ 58.08, 1.588 Å, rel. 129, (0 4 0)
2θ 40.40, 2.232 Å, rel. 126, (2 0 0)
2θ 72.67, 1.301 Å, rel. 88, (1 2 15)
2θ 73.30, 1.292 Å, rel. 87, (3 2 5)



Calculated X-ray diffraction stick pattern of Sr5PmSb4 for Cu Kα (weighted mean of Kα1 and Kα2), from DFT lattice parameters and positions (GGA-PBE).
Kinematic intensities with the Lorentz-polarization factor, no thermal factor.

Cell and atoms:
Lattice parameters (Å, degrees): 21.0608 4.8773 8.7869 90.00 114.62 90.00
Space group C2/m (No. 12)
Symmetry-distinct sites (fractional):
Sr1 0.0000 0.0000 0.0000 x2
Sr2 0.1673 0.5000 0.4238 x4
Sr3 0.1672 0.5000 0.9112 x4
Pm1 0.0000 0.0000 0.5000 x2
Sb1 0.0001 0.5000 0.2572 x4
Sb2 0.1934 0.0000 0.6936 x4

Main lines, in order of falling intensity (10 to 90 degrees two-theta):
2θ 27.72, 3.218 Å, rel. 1000, (3 1 -2)
2θ 36.16, 2.484 Å, rel. 731, (3 1 2)
2θ 27.96, 3.191 Å, rel. 431, (6 0 0)
2θ 36.86, 2.439 Å, rel. 249, (0 2 0)
2θ 46.89, 1.938 Å, rel. 199, (6 2 0)
2θ 11.08, 7.986 Å, rel. 196, (2 0 -1)
2θ 41.09, 2.197 Å, rel. 180, (4 0 -4)
2θ 50.44, 1.809 Å, rel. 158, (10 0 -4)
2θ 64.08, 1.453 Å, rel. 155, (10 2 -4)
2θ 18.54, 4.787 Å, rel. 143, (4 0 0)



Calculated X-ray diffraction stick pattern of TbPm3Sb3 for Cu Kα (weighted mean of Kα1 and Kα2), from DFT lattice parameters and positions (GGA-PBE).
Kinematic intensities with the Lorentz-polarization factor, no thermal factor.

Cell and atoms:
Lattice parameters (Å, degrees): 9.3941 9.3941 9.3941 90.00 90.00 90.00
Space group P2_13 (No. 198)
Symmetry-distinct sites (fractional):
Tb1 0.0717 0.4283 0.5717 x4
Pm1 0.0686 0.5686 0.9314 x4
Pm2 0.1779 0.1779 0.1779 x4
Pm3 0.1791 0.8209 0.3209 x4
Sb1 0.0011 0.7463 0.6271 x12

Main lines, in order of falling intensity (10 to 90 degrees two-theta):
2θ 30.08, 2.971 Å, rel. 1000, (3 0 1)
2θ 35.76, 2.511 Å, rel. 660, (3 1 2)
2θ 60.78, 1.524 Å, rel. 250, (6 1 1)
2θ 49.47, 1.842 Å, rel. 237, (4 3 1)
2θ 47.41, 1.918 Å, rel. 172, (4 2 2)
2θ 74.18, 1.278 Å, rel. 151, (7 2 1)
2θ 64.26, 1.450 Å, rel. 143, (5 4 1)
2θ 62.53, 1.485 Å, rel. 119, (6 0 2)
2θ 89.81, 1.092 Å, rel. 108, (7 0 5)
2θ 43.06, 2.101 Å, rel. 101, (4 0 2)



What is the formula in the fourth record?
TbPm3Sb3



What is the formula in the second record?
Pm5SnSb4



Copy entry 4 word for word.
Calculated X-ray diffraction stick pattern of TbPm3Sb3 for Cu Kα (weighted mean of Kα1 and Kα2), from DFT lattice parameters and positions (GGA-PBE).
Kinematic intensities with the Lorentz-polarization factor, no thermal factor.

Cell and atoms:
Lattice parameters (Å, degrees): 9.3941 9.3941 9.3941 90.00 90.00 90.00
Space group P2_13 (No. 198)
Symmetry-distinct sites (fractional):
Tb1 0.0717 0.4283 0.5717 x4
Pm1 0.0686 0.5686 0.9314 x4
Pm2 0.1779 0.1779 0.1779 x4
Pm3 0.1791 0.8209 0.3209 x4
Sb1 0.0011 0.7463 0.6271 x12

Main lines, in order of falling intensity (10 to 90 degrees two-theta):
2θ 30.08, 2.971 Å, rel. 1000, (3 0 1)
2θ 35.76, 2.511 Å, rel. 660, (3 1 2)
2θ 60.78, 1.524 Å, rel. 250, (6 1 1)
2θ 49.47, 1.842 Å, rel. 237, (4 3 1)
2θ 47.41, 1.918 Å, rel. 172, (4 2 2)
2θ 74.18, 1.278 Å, rel. 151, (7 2 1)
2θ 64.26, 1.450 Å, rel. 143, (5 4 1)
2θ 62.53, 1.485 Å, rel. 119, (6 0 2)
2θ 89.81, 1.092 Å, rel. 108, (7 0 5)
2θ 43.06, 2.101 Å, rel. 101, (4 0 2)